Entry 1:
This entry pairs a crystal structure of Ac3Sn3Pd8 with its theoretical powder diffraction line list. Radiation: a wavelength of 1.5418 Å. Structure: the PBE geometry in Alexandria.

Principal peaks in the range 2θ = 10–90°, by angle:
| Position (°2θ) | intensity |
| --- | --- |
| 27.36 | 22.4 |
| 32.09 | 26.1 |
| 32.95 | 100.0 |
| 33.24 | 54.5 |
| 33.75 | 21.4 |
| 33.85 | 21.0 |
| 35.86 | 24.6 |
| 38.17 | 54.0 |
| 38.35 | 29.1 |
| 63.41 | 20.4 |

Cell: 8.697 8.697 8.697 Å, 148.54 110.96 77.83°
Fractional coordinates of all 14 atoms:
Ac1 0.000 0.000 0.000
Ac2 0.293 0.293 0.000
Ac3 0.707 0.707 0.000
Sn1 0.268 0.500 0.768
Sn2 0.500 0.000 0.500
Sn3 0.732 0.500 0.232
Pd1 0.032 0.676 0.356
Pd2 0.163 0.878 0.284
Pd3 0.320 0.676 0.644
Pd4 0.406 0.122 0.284
Pd5 0.594 0.878 0.716
Pd6 0.680 0.324 0.356
Pd7 0.837 0.122 0.716
Pd8 0.968 0.324 0.644

Entry 2:
This entry pairs a crystal structure of Ac3Sn4Pd2 with its theoretical powder diffraction line list. Radiation: a wavelength of 1.5418 Å. Structure: the PBE geometry in Alexandria.

Principal peaks in the range 2θ = 10–90°, by angle:
| Position (°2θ) | intensity |
| --- | --- |
| 29.39 | 50.0 |
| 29.53 | 100.0 |
| 29.82 | 73.6 |
| 29.90 | 97.1 |
| 35.90 | 26.1 |
| 36.43 | 68.9 |
| 37.66 | 90.1 |
| 47.76 | 41.1 |
| 58.49 | 25.9 |
| 61.32 | 28.1 |

Cell: 6.352 6.352 9.330 Å, 104.47 104.47 45.70°
Fractional coordinates of all 9 atoms:
Ac1 0.000 0.000 0.000
Ac2 0.368 0.368 0.314
Ac3 0.632 0.632 0.686
Sn1 0.097 0.097 0.411
Sn2 0.288 0.288 0.928
Sn3 0.712 0.712 0.072
Sn4 0.903 0.903 0.589
Pd1 0.331 0.331 0.655
Pd2 0.669 0.669 0.345

Entry 3:
This entry pairs a crystal structure of AcSn4Pd with its theoretical powder diffraction line list. Radiation: a wavelength of 1.5418 Å. Structure: the PBE geometry in Alexandria.

Principal peaks in the range 2θ = 10–90°, by angle:
| Position (°2θ) | intensity |
| --- | --- |
| 28.62 | 21.0 |
| 29.53 | 25.0 |
| 31.25 | 100.0 |
| 32.11 | 12.1 |
| 33.82 | 46.0 |
| 35.27 | 60.2 |
| 36.47 | 16.0 |
| 44.94 | 32.1 |
| 56.30 | 19.2 |
| 57.43 | 20.8 |

Cell: 4.033 4.074 9.870 Å, 85.75 89.97 89.90°
Fractional coordinates of all 6 atoms:
Ac1 0.000 0.000 0.000
Sn1 0.001 0.114 0.638
Sn2 0.499 0.424 0.221
Sn3 0.501 0.576 0.779
Sn4 0.999 0.886 0.362
Pd1 0.500 0.500 0.500

Entry 4:
This entry pairs a crystal structure of Ac2Sn3Pd5 with its theoretical powder diffraction line list. Radiation: a wavelength of 1.5418 Å. Structure: the PBE geometry in Alexandria.

Principal peaks in the range 2θ = 10–90°, by angle:
| Position (°2θ) | intensity |
| --- | --- |
| 31.33 | 27.5 |
| 32.51 | 100.0 |
| 32.88 | 48.8 |
| 35.28 | 41.3 |
| 35.88 | 37.7 |
| 36.18 | 41.5 |
| 39.25 | 54.4 |
| 42.55 | 26.1 |
| 54.22 | 24.0 |
| 62.15 | 17.4 |

Cell: 13.480 13.480 7.471 Å, 90.00 90.00 160.39°
Fractional coordinates of all 20 atoms:
Ac1 0.014 0.986 0.500
Ac2 0.325 0.675 0.421
Ac3 0.675 0.325 0.921
Ac4 0.986 0.014 0.000
Sn1 0.126 0.874 0.291
Sn2 0.280 0.720 0.884
Sn3 0.444 0.556 0.304
Sn4 0.556 0.444 0.804
Sn5 0.720 0.280 0.384
Sn6 0.874 0.126 0.791
Pd1 0.106 0.894 0.727
Pd2 0.206 0.794 0.594
Pd3 0.224 0.776 0.183
Pd4 0.378 0.622 0.000
Pd5 0.449 0.551 0.695
Pd6 0.551 0.449 0.195
Pd7 0.622 0.378 0.500
Pd8 0.776 0.224 0.683
Pd9 0.794 0.206 0.094
Pd10 0.894 0.106 0.227

Entry 5:
This entry pairs a crystal structure of AcSn12Pd4 with its theoretical powder diffraction line list. Radiation: a wavelength of 1.5418 Å. Structure: the PBE geometry in Alexandria.

Principal peaks in the range 2θ = 10–90°, by angle:
| Position (°2θ) | intensity |
| --- | --- |
| 26.43 | 10.3 |
| 29.62 | 100.0 |
| 35.20 | 50.3 |
| 42.38 | 17.8 |
| 46.65 | 36.3 |
| 48.68 | 35.0 |
| 66.48 | 19.5 |
| 75.98 | 10.6 |
| 86.60 | 16.9 |
| 88.09 | 12.8 |

Cell: 8.261 8.261 8.261 Å, 109.47 109.47 109.47°
Fractional coordinates of all 17 atoms:
Ac1 0.000 0.000 0.000
Sn1 0.161 0.506 0.346
Sn2 0.161 0.815 0.654
Sn3 0.185 0.346 0.839
Sn4 0.346 0.161 0.506
Sn5 0.346 0.839 0.185
Sn6 0.494 0.654 0.839
Sn7 0.506 0.346 0.161
Sn8 0.654 0.161 0.815
Sn9 0.654 0.839 0.494
Sn10 0.815 0.654 0.161
Sn11 0.839 0.185 0.346
Sn12 0.839 0.494 0.654
Pd1 0.000 0.000 0.500
Pd2 0.000 0.500 0.000
Pd3 0.500 0.000 0.000
Pd4 0.500 0.500 0.500

Entry 6:
This entry pairs a crystal structure of Ac2Sn3Pd5 with its theoretical powder diffraction line list. Radiation: a wavelength of 1.5418 Å. Structure: the PBE geometry in Alexandria.

Principal peaks in the range 2θ = 10–90°, by angle:
| Position (°2θ) | intensity |
| --- | --- |
| 31.16 | 88.0 |
| 31.75 | 73.2 |
| 32.39 | 100.0 |
| 36.04 | 22.5 |
| 39.44 | 85.9 |
| 45.54 | 26.4 |
| 50.65 | 19.8 |
| 51.53 | 23.5 |
| 57.79 | 31.0 |
| 66.38 | 21.5 |

Cell: 9.148 9.148 9.148 Å, 105.55 88.57 139.19°
Fractional coordinates of all 20 atoms:
Ac1 0.129 0.233 0.362
Ac2 0.371 0.733 0.104
Ac3 0.629 0.267 0.896
Ac4 0.871 0.767 0.638
Sn1 0.145 0.906 0.051
Sn2 0.250 0.750 0.500
Sn3 0.355 0.406 0.760
Sn4 0.645 0.594 0.240
Sn5 0.750 0.250 0.500
Sn6 0.855 0.094 0.949
Pd1 0.040 0.750 0.290
Pd2 0.103 0.672 0.774
Pd3 0.250 0.250 0.000
Pd4 0.397 0.172 0.569
Pd5 0.460 0.750 0.710
Pd6 0.540 0.250 0.290
Pd7 0.603 0.828 0.431
Pd8 0.750 0.750 0.000
Pd9 0.897 0.328 0.226
Pd10 0.960 0.250 0.710

Entry 7:
This entry pairs a crystal structure of AcTbSn2Pd5 with its theoretical powder diffraction line list. Radiation: a wavelength of 1.5418 Å. Structure: the PBE geometry in Alexandria.

Principal peaks in the range 2θ = 10–90°, by angle:
| Position (°2θ) | intensity |
| --- | --- |
| 27.30 | 28.1 |
| 33.83 | 100.0 |
| 39.79 | 64.4 |
| 40.19 | 38.9 |
| 43.27 | 17.6 |
| 57.53 | 22.0 |
| 60.23 | 13.6 |
| 66.25 | 13.7 |
| 68.44 | 25.5 |
| 72.50 | 13.9 |

Cell: 4.531 4.531 9.428 Å, 90.00 90.00 90.00°
Fractional coordinates of all 9 atoms:
Ac1 0.000 0.000 0.000
Tb1 0.000 0.000 0.500
Sn1 0.500 0.500 0.354
Sn2 0.500 0.500 0.646
Pd1 0.000 0.500 0.217
Pd2 0.000 0.500 0.783
Pd3 0.500 0.000 0.217
Pd4 0.500 0.000 0.783
Pd5 0.500 0.500 0.000

Entry 8:
This entry pairs a crystal structure of Ac2ThSn3Pd6 with its theoretical powder diffraction line list. Radiation: a wavelength of 1.5418 Å. Structure: the PBE geometry in Alexandria.

Principal peaks in the range 2θ = 10–90°, by angle:
| Position (°2θ) | intensity |
| --- | --- |
| 25.88 | 100.0 |
| 29.83 | 40.5 |
| 30.25 | 42.7 |
| 33.54 | 53.3 |
| 36.19 | 25.2 |
| 41.53 | 33.7 |
| 42.70 | 66.5 |
| 42.99 | 58.7 |
| 50.60 | 34.1 |
| 61.97 | 22.3 |

Cell: 4.235 4.235 17.736 Å, 90.00 90.00 90.00°
Fractional coordinates of all 12 atoms:
Ac1 0.000 0.000 0.180
Ac2 0.000 0.000 0.820
Th1 0.000 0.000 0.500
Sn1 0.500 0.500 0.000
Sn2 0.500 0.500 0.295
Sn3 0.500 0.500 0.705
Pd1 0.000 0.500 0.388
Pd2 0.000 0.500 0.612
Pd3 0.500 0.000 0.388
Pd4 0.500 0.000 0.612
Pd5 0.500 0.500 0.144
Pd6 0.500 0.500 0.856

Entry 9:
This entry pairs a crystal structure of AcTmSnPd with its theoretical powder diffraction line list. Radiation: a wavelength of 1.5418 Å. Structure: the PBE geometry in Alexandria.

Principal peaks in the range 2θ = 10–90°, by angle:
| Position (°2θ) | intensity |
| --- | --- |
| 23.37 | 7.7 |
| 33.28 | 100.0 |
| 41.06 | 2.5 |
| 47.78 | 18.4 |
| 53.85 | 3.5 |
| 59.47 | 38.6 |
| 69.88 | 12.0 |
| 74.81 | 1.7 |
| 79.63 | 16.9 |
| 89.09 | 4.5 |

Cell: 7.614 7.614 7.614 Å, 90.00 90.00 90.00°
Fractional coordinates of all 16 atoms:
Ac1 0.000 0.000 0.000
Ac2 0.000 0.500 0.500
Ac3 0.500 0.000 0.500
Ac4 0.500 0.500 0.000
Tm1 0.000 0.000 0.500
Tm2 0.000 0.500 0.000
Tm3 0.500 0.000 0.000
Tm4 0.500 0.500 0.500
Sn1 0.250 0.250 0.750
Sn2 0.250 0.750 0.250
Sn3 0.750 0.250 0.250
Sn4 0.750 0.750 0.750
Pd1 0.250 0.250 0.250
Pd2 0.250 0.750 0.750
Pd3 0.750 0.250 0.750
Pd4 0.750 0.750 0.250

Entry 10:
This entry pairs a crystal structure of Ac2YSn3Pd6 with its theoretical powder diffraction line list. Radiation: a wavelength of 1.5418 Å. Structure: the PBE geometry in Alexandria.

Principal peaks in the range 2θ = 10–90°, by angle:
| Position (°2θ) | intensity |
| --- | --- |
| 10.13 | 35.5 |
| 25.92 | 100.0 |
| 29.66 | 42.4 |
| 30.10 | 64.1 |
| 33.50 | 50.2 |
| 41.98 | 38.4 |
| 42.44 | 84.2 |
| 43.23 | 67.7 |
| 50.40 | 34.3 |
| 61.57 | 28.1 |

Cell: 4.260 4.260 17.457 Å, 90.00 90.00 90.00°
Fractional coordinates of all 12 atoms:
Ac1 0.000 0.000 0.184
Ac2 0.000 0.000 0.816
Y1 0.000 0.000 0.500
Sn1 0.500 0.500 0.000
Sn2 0.500 0.500 0.299
Sn3 0.500 0.500 0.701
Pd1 0.000 0.500 0.389
Pd2 0.000 0.500 0.611
Pd3 0.500 0.000 0.389
Pd4 0.500 0.000 0.611
Pd5 0.500 0.500 0.146
Pd6 0.500 0.500 0.854

Entry 11:
This entry pairs a crystal structure of Ac3ZnSn2Pd9 with its theoretical powder diffraction line list. Radiation: a wavelength of 1.5418 Å. Structure: the PBE geometry in Alexandria.

Principal peaks in the range 2θ = 10–90°, by angle:
| Position (°2θ) | intensity |
| --- | --- |
| 18.80 | 16.6 |
| 24.22 | 19.5 |
| 26.37 | 39.0 |
| 28.36 | 17.4 |
| 32.01 | 61.6 |
| 36.10 | 100.0 |
| 42.16 | 18.0 |
| 45.26 | 29.6 |
| 49.61 | 21.9 |
| 54.27 | 27.2 |

Cell: 6.761 6.761 9.442 Å, 90.00 90.00 120.00°
Fractional coordinates of all 15 atoms:
Ac1 0.000 0.000 0.000
Ac2 0.333 0.667 0.719
Ac3 0.667 0.333 0.281
Zn1 0.000 0.000 0.500
Sn1 0.333 0.667 0.191
Sn2 0.667 0.333 0.809
Pd1 0.000 0.500 0.000
Pd2 0.133 0.265 0.288
Pd3 0.133 0.867 0.288
Pd4 0.265 0.133 0.712
Pd5 0.500 0.000 0.000
Pd6 0.500 0.500 0.000
Pd7 0.735 0.867 0.288
Pd8 0.867 0.133 0.712
Pd9 0.867 0.735 0.712

Entry 12:
This entry pairs a crystal structure of AcZnSn2Pd with its theoretical powder diffraction line list. Radiation: a wavelength of 1.5418 Å. Structure: the PBE geometry in Alexandria.

Principal peaks in the range 2θ = 10–90°, by angle:
| Position (°2θ) | intensity |
| --- | --- |
| 27.04 | 33.1 |
| 30.57 | 100.0 |
| 31.44 | 87.9 |
| 38.62 | 68.6 |
| 44.68 | 31.6 |
| 50.04 | 52.4 |
| 55.76 | 23.8 |
| 56.41 | 20.1 |
| 60.51 | 26.3 |
| 65.43 | 21.4 |

Cell: 4.663 4.663 11.262 Å, 90.00 90.00 90.00°
Fractional coordinates of all 10 atoms:
Ac1 0.000 0.000 0.000
Ac2 0.500 0.500 0.500
Zn1 0.000 0.500 0.250
Zn2 0.500 0.000 0.750
Sn1 0.000 0.000 0.372
Sn2 0.000 0.000 0.628
Sn3 0.500 0.500 0.128
Sn4 0.500 0.500 0.872
Pd1 0.000 0.500 0.750
Pd2 0.500 0.000 0.250

Entry 13:
This entry pairs a crystal structure of SrAc6Pd4 with its theoretical powder diffraction line list. Radiation: a wavelength of 1.5418 Å. Structure: the PBE geometry in Alexandria.

Principal peaks in the range 2θ = 10–90°, by angle:
| Position (°2θ) | intensity |
| --- | --- |
| 26.17 | 38.0 |
| 26.40 | 68.7 |
| 27.57 | 100.0 |
| 27.73 | 88.8 |
| 28.13 | 39.7 |
| 29.68 | 47.8 |
| 31.53 | 44.2 |
| 32.06 | 60.6 |
| 39.16 | 55.1 |
| 42.67 | 34.5 |

Cell: 7.362 7.362 7.748 Å, 98.87 98.87 109.72°
Fractional coordinates of all 11 atoms:
Sr1 0.000 0.000 0.000
Ac1 0.374 0.374 0.420
Ac2 0.385 0.711 0.061
Ac3 0.429 0.937 0.626
Ac4 0.711 0.385 0.061
Ac5 0.884 0.884 0.486
Ac6 0.937 0.429 0.626
Pd1 0.107 0.633 0.329
Pd2 0.272 0.272 0.769
Pd3 0.633 0.107 0.329
Pd4 0.641 0.641 0.757